Entry 1:
Cs3MnS4: theoretical PXRD pattern (Cu Kα, 1.54184 Å), based on a DFT-relaxed cell (GGA-PBE, Alexandria).

Cell and atoms:
abc: 9.792 11.805 9.764
angles: 90.00 90.00 90.00
Element x y z (fractional)
Cs  0.042  0.043  0.209
Cs  0.042  0.457  0.209
Cs  0.153  0.750  0.409
Cs  0.347  0.250  0.909
Cs  0.458  0.543  0.709
Cs  0.458  0.957  0.709
Cs  0.542  0.043  0.291
Cs  0.542  0.457  0.291
Cs  0.653  0.750  0.091
Cs  0.847  0.250  0.591
Cs  0.958  0.543  0.791
Cs  0.958  0.957  0.791
Mn  0.224  0.750  0.984
Mn  0.276  0.250  0.484
Mn  0.724  0.750  0.516
Mn  0.776  0.250  0.016
S  0.023  0.750  0.065
S  0.174  0.102  0.549
S  0.174  0.398  0.549
S  0.212  0.750  0.767
S  0.288  0.250  0.267
S  0.326  0.602  0.049
S  0.326  0.898  0.049
S  0.477  0.250  0.565
S  0.523  0.750  0.435
S  0.674  0.102  0.951
S  0.674  0.398  0.951
S  0.712  0.750  0.733
S  0.788  0.250  0.233
S  0.826  0.602  0.451
S  0.826  0.898  0.451
S  0.977  0.250  0.935

Largest 10 diffraction maxima, most intense first, 10 to 90 degrees two-theta:
two_theta  I_rel
23.63  100
29.11  38
25.77  32
28.87  29
25.36  28
30.55  28
28.45  27
20.29  26
24.39  26
36.47  25


Entry 2:
CsMn5S8: theoretical PXRD pattern (Cu Kα, 1.54184 Å), based on a DFT-relaxed cell (GGA-PBE, Alexandria).

Cell and atoms:
abc: 9.013 9.013 8.868
angles: 105.42 105.42 22.36
Element x y z (fractional)
Cs  0.000  0.000  0.000
Mn  0.165  0.165  0.500
Mn  0.206  0.206  0.836
Mn  0.500  0.500  0.500
Mn  0.794  0.794  0.164
Mn  0.835  0.835  0.500
S  0.074  0.074  0.654
S  0.256  0.256  0.343
S  0.331  0.331  0.017
S  0.409  0.409  0.649
S  0.591  0.591  0.351
S  0.669  0.669  0.983
S  0.744  0.744  0.657
S  0.926  0.926  0.346

Largest 10 diffraction maxima, most intense first, 10 to 90 degrees two-theta:
two_theta  I_rel
33.26  100
20.83  82
40.64  68
53.56  64
47.23  58
20.64  56
34.19  53
32.83  48
30.35  46
45.75  41